[1]
This entry pairs a crystal structure of U3Co2Si7 with its simulated powder diffraction line list. Radiation: copper Kα. Structure: a PBE-relaxed structure.

Structure:
a = 12.3518 Å, b = 12.3518 Å, c = 4.0267 Å
α = 90.00°, β = 90.00°, γ = 161.48°
Positions (direct):
1 U 0.0000 0.0000 0.0000
2 U 0.3141 0.6859 0.5000
3 U 0.6859 0.3141 0.5000
4 Co 0.1287 0.8713 0.0000
5 Co 0.8713 0.1287 0.0000
6 Si 0.0875 0.9125 0.5000
7 Si 0.2222 0.7778 0.0000
8 Si 0.4131 0.5869 0.0000
9 Si 0.5000 0.5000 0.5000
10 Si 0.5869 0.4131 0.0000
11 Si 0.7778 0.2222 0.0000
12 Si 0.9125 0.0875 0.5000

Main lines, sorted by position (2θ from 10° to 90°):
2θ = 21.87°, I = 357
2θ = 23.26°, I = 579
2θ = 24.94°, I = 597
2θ = 31.85°, I = 498
2θ = 36.73°, I = 1000
2θ = 36.99°, I = 551
2θ = 40.29°, I = 206
2θ = 45.03°, I = 261
2θ = 45.65°, I = 253
2θ = 60.13°, I = 357



[2]
This entry pairs a crystal structure of MgSi2 with its simulated powder diffraction line list. Radiation: copper Kα. Structure: a PBE-relaxed structure.

Structure:
a = 5.1649 Å, b = 5.6653 Å, c = 7.6888 Å
α = 84.14°, β = 85.36°, γ = 64.82°
Positions (direct):
1 Mg 0.0000 0.0000 0.0000
2 Mg 0.0714 0.4616 0.8508
3 Mg 0.2462 0.2542 0.5052
4 Mg 0.9030 0.5614 0.2166
5 Si 0.2307 0.7692 0.6162
6 Si 0.3222 0.7454 0.2975
7 Si 0.4428 0.1217 0.1588
8 Si 0.5133 0.5179 0.0016
9 Si 0.5451 0.9373 0.8494
10 Si 0.6640 0.3068 0.7022
11 Si 0.7340 0.7222 0.5609
12 Si 0.8175 0.0874 0.3990

Main lines, sorted by position (2θ from 10° to 90°):
2θ = 35.40°, I = 103
2θ = 37.94°, I = 428
2θ = 38.69°, I = 1000
2θ = 39.88°, I = 972
2θ = 40.74°, I = 83
2θ = 42.55°, I = 206
2θ = 44.06°, I = 111
2θ = 52.16°, I = 166
2θ = 68.89°, I = 81
2θ = 71.64°, I = 140



[3]
This entry pairs a crystal structure of ErTiFe11 with its simulated powder diffraction line list. Radiation: copper Kα. Structure: a PBE-relaxed structure.

Structure:
a = 6.4416 Å, b = 6.4416 Å, c = 6.4416 Å
α = 137.18°, β = 97.55°, γ = 97.77°
Positions (direct):
1 Er 0.0000 0.0000 0.0000
2 Ti 0.3735 0.3735 0.0000
3 Fe 0.0034 0.0038 0.4981
4 Fe 0.0034 0.5053 0.9996
5 Fe 0.2280 0.5065 0.7216
6 Fe 0.2282 0.7282 0.5000
7 Fe 0.3608 0.0047 0.3561
8 Fe 0.5057 0.0038 0.0004
9 Fe 0.5057 0.5053 0.5019
10 Fe 0.6486 0.0047 0.6439
11 Fe 0.6527 0.6527 0.0000
12 Fe 0.7775 0.2775 0.5000
13 Fe 0.7849 0.5065 0.2784

Main lines, sorted by position (2θ from 10° to 90°):
2θ = 30.27°, I = 418
2θ = 33.41°, I = 152
2θ = 37.10°, I = 457
2θ = 38.28°, I = 159
2θ = 42.64°, I = 594
2θ = 42.99°, I = 1000
2θ = 44.04°, I = 683
2θ = 49.25°, I = 219
2θ = 62.97°, I = 127
2θ = 72.45°, I = 196



[4]
This entry pairs a crystal structure of Ti3In3Rh2 with its simulated powder diffraction line list. Radiation: copper Kα. Structure: a PBE-relaxed structure.

Structure:
a = 7.3485 Å, b = 7.3485 Å, c = 3.0826 Å
α = 90.00°, β = 90.00°, γ = 120.00°
Positions (direct):
1 Ti 0.0000 0.4174 0.0000
2 Ti 0.4174 0.0000 0.0000
3 Ti 0.5826 0.5826 0.0000
4 In 0.0000 0.7628 0.5000
5 In 0.2372 0.2372 0.5000
6 In 0.7628 0.0000 0.5000
7 Rh 0.3333 0.6667 0.5000
8 Rh 0.6667 0.3333 0.5000

Main lines, sorted by position (2θ from 10° to 90°):
2θ = 24.22°, I = 176
2θ = 28.97°, I = 353
2θ = 37.39°, I = 1000
2θ = 38.11°, I = 696
2θ = 40.75°, I = 469
2θ = 42.62°, I = 211
2θ = 47.97°, I = 494
2θ = 71.50°, I = 202
2θ = 72.89°, I = 262
2θ = 75.01°, I = 247



[5]
This entry pairs a crystal structure of Ba2PrF7 with its simulated powder diffraction line list. Radiation: copper Kα. Structure: a PBE-relaxed structure.

Structure:
a = 4.3956 Å, b = 4.4199 Å, c = 9.8138 Å
α = 79.15°, β = 78.69°, γ = 88.92°
Positions (direct):
1 Ba 0.0000 0.0000 0.0000
2 Ba 0.3456 0.3541 0.3250
3 Pr 0.5975 0.5842 0.6827
4 F 0.0633 0.4830 0.7688
5 F 0.3084 0.7900 0.5053
6 F 0.4160 0.9187 0.1689
7 F 0.4738 0.4823 0.9362
8 F 0.5680 0.0448 0.7713
9 F 0.7815 0.3232 0.4940
10 F 0.9122 0.4248 0.1651

Main lines, sorted by position (2θ from 10° to 90°):
2θ = 24.12°, I = 475
2θ = 24.32°, I = 498
2θ = 25.10°, I = 1000
2θ = 28.37°, I = 441
2θ = 28.92°, I = 218
2θ = 39.41°, I = 196
2θ = 40.83°, I = 412
2θ = 41.08°, I = 431
2θ = 41.66°, I = 209
2θ = 48.81°, I = 220



[6]
This entry pairs a crystal structure of Pr5Ru2O12 with its simulated powder diffraction line list. Radiation: copper Kα. Structure: a PBE-relaxed structure.

Structure:
a = 7.1250 Å, b = 7.1250 Å, c = 7.7438 Å
α = 105.77°, β = 105.77°, γ = 50.04°
Positions (direct):
1 Pr 0.0000 0.0000 0.0000
2 Pr 0.3066 0.3066 0.1424
3 Pr 0.3093 0.3093 0.6672
4 Pr 0.6907 0.6907 0.3328
5 Pr 0.6934 0.6934 0.8576
6 Ru 0.2349 0.7651 0.5000
7 Ru 0.7651 0.2349 0.5000
8 O 0.0009 0.0009 0.6851
9 O 0.0960 0.5860 0.4215
10 O 0.0955 0.5949 0.9221
11 O 0.4051 0.9045 0.0779
12 O 0.4140 0.9040 0.5785
13 O 0.4998 0.4998 0.3290
14 O 0.5002 0.5002 0.6710
15 O 0.5860 0.0960 0.4215
16 O 0.5949 0.0955 0.9221
17 O 0.9045 0.4051 0.0779
18 O 0.9040 0.4140 0.5785
19 O 0.9991 0.9991 0.3149

Main lines, sorted by position (2θ from 10° to 90°):
2θ = 26.26°, I = 967
2θ = 27.38°, I = 1000
2θ = 31.06°, I = 192
2θ = 31.77°, I = 596
2θ = 38.56°, I = 217
2θ = 44.00°, I = 294
2θ = 44.11°, I = 194
2θ = 46.93°, I = 234
2θ = 53.54°, I = 401
2θ = 54.58°, I = 245